Theoretical powder XRD pattern
Compound: CeHf2Co
Radiation: λ = 1.5418 Å (Cu Kα)
Structure: a cell relaxed with PBE
Kinematic intensities with the Lorentz-polarization factor, no thermal factor.

Cell and atoms:
abc: 3.201 3.201 7.901
angles: 90.00 90.00 90.00
Positions (direct):
Ce (0.000, 0.000, 0.000)
Hf (0.500, 0.500, 0.310)
Hf (0.500, 0.500, 0.690)
Co (0.000, 0.000, 0.500)

Top 8 peaks for 10 to 90 degrees two-theta, in order of rising 2θ:
two_theta  I_rel
30.12  328
34.04  219
36.12  1000
39.83  558
44.55  155
53.37  249
57.59  189
69.89  287

***

Theoretical powder XRD pattern
Compound: Pr4Si2SeCl
Radiation: λ = 1.5418 Å (Cu Kα)
Structure: a cell relaxed with PBE
Kinematic intensities with the Lorentz-polarization factor, no thermal factor.

Cell and atoms:
abc: 6.027 6.027 11.973
angles: 90.00 90.00 90.00
Positions (direct):
Pr (0.000, 0.000, 0.247)
Pr (0.000, 0.000, 0.753)
Pr (0.000, 0.500, 0.000)
Pr (0.000, 0.500, 0.500)
Pr (0.500, 0.000, 0.000)
Pr (0.500, 0.000, 0.500)
Pr (0.500, 0.500, 0.253)
Pr (0.500, 0.500, 0.747)
Si (0.000, 0.500, 0.250)
Si (0.000, 0.500, 0.750)
Si (0.500, 0.000, 0.250)
Si (0.500, 0.000, 0.750)
Se (0.000, 0.000, 0.000)
Se (0.500, 0.500, 0.500)
Cl (0.000, 0.000, 0.500)
Cl (0.500, 0.500, 0.000)

Top 8 peaks for 10 to 90 degrees two-theta, in order of rising 2θ:
two_theta  I_rel
25.66  795
29.65  1000
29.85  490
42.42  371
42.57  734
50.24  268
52.73  389
77.71  247

***

Theoretical powder XRD pattern
Compound: ZnIn2Cu2S5
Radiation: λ = 1.5418 Å (Cu Kα)
Structure: a cell relaxed with PBE
Kinematic intensities with the Lorentz-polarization factor, no thermal factor.

Cell and atoms:
abc: 10.423 10.423 5.531
angles: 105.38 105.38 21.84
Positions (direct):
Zn (0.000, 0.000, 0.000)
In (0.604, 0.604, 0.611)
In (0.809, 0.809, 0.806)
Cu (0.207, 0.207, 0.199)
Cu (0.406, 0.406, 0.396)
S (0.106, 0.106, 0.327)
S (0.306, 0.306, 0.521)
S (0.499, 0.499, 0.756)
S (0.706, 0.706, 0.978)
S (0.910, 0.910, 0.179)

Top 8 peaks for 10 to 90 degrees two-theta, in order of rising 2θ:
two_theta  I_rel
27.78  1000
32.09  116
32.37  60
46.01  194
46.22  376
54.60  276
54.97  134
74.43  103

***

Theoretical powder XRD pattern
Compound: Cs4RbSb4
Radiation: λ = 1.5418 Å (Cu Kα)
Structure: a cell relaxed with PBE
Kinematic intensities with the Lorentz-polarization factor, no thermal factor.

Cell and atoms:
abc: 11.631 11.631 7.720
angles: 90.00 90.00 90.00
Positions (direct):
Cs (0.063, 0.664, 0.094)
Cs (0.164, 0.937, 0.594)
Cs (0.336, 0.563, 0.594)
Cs (0.437, 0.836, 0.094)
Cs (0.563, 0.164, 0.906)
Cs (0.664, 0.437, 0.406)
Cs (0.836, 0.063, 0.406)
Cs (0.937, 0.336, 0.906)
Rb (0.250, 0.250, 0.250)
Rb (0.750, 0.750, 0.750)
Sb (0.005, 0.604, 0.586)
Sb (0.104, 0.995, 0.086)
Sb (0.396, 0.505, 0.086)
Sb (0.495, 0.896, 0.586)
Sb (0.505, 0.104, 0.414)
Sb (0.604, 0.495, 0.914)
Sb (0.896, 0.005, 0.914)
Sb (0.995, 0.396, 0.414)

Top 8 peaks for 10 to 90 degrees two-theta, in order of rising 2θ:
two_theta  I_rel
15.24  189
24.23  1000
26.85  211
28.80  306
32.74  152
34.49  176
36.29  251
48.42  138

***

Theoretical powder XRD pattern
Compound: GaW
Radiation: λ = 1.5418 Å (Cu Kα)
Structure: a cell relaxed with PBE
Kinematic intensities with the Lorentz-polarization factor, no thermal factor.

Cell and atoms:
abc: 4.663 3.061 4.642
angles: 90.00 107.39 90.00
Positions (direct):
Ga (0.000, 0.000, 0.000)
Ga (0.500, 0.500, 0.000)
W (0.000, 0.500, 0.500)
W (0.500, 0.000, 0.500)

Top 8 peaks for 10 to 90 degrees two-theta, in order of rising 2θ:
two_theta  I_rel
20.04  437
35.60  211
37.95  1000
40.55  416
40.73  411
44.23  650
48.56  248
67.64  183

***

Theoretical powder XRD pattern
Compound: Ti2Nb2Cl7
Radiation: λ = 1.5418 Å (Cu Kα)
Structure: a cell relaxed with PBE
Kinematic intensities with the Lorentz-polarization factor, no thermal factor.

Cell and atoms:
abc: 6.726 6.726 12.577
angles: 92.29 92.29 77.85
Positions (direct):
Ti (0.008, 0.576, 0.819)
Ti (0.424, 0.992, 0.681)
Ti (0.576, 0.008, 0.319)
Ti (0.992, 0.424, 0.181)
Nb (0.007, 0.288, 0.990)
Nb (0.288, 0.007, 0.490)
Nb (0.712, 0.993, 0.510)
Nb (0.993, 0.712, 0.010)
Cl (0.049, 0.768, 0.446)
Cl (0.232, 0.951, 0.054)
Cl (0.247, 0.249, 0.320)
Cl (0.249, 0.247, 0.820)
Cl (0.269, 0.731, 0.750)
Cl (0.284, 0.451, 0.078)
Cl (0.451, 0.284, 0.578)
Cl (0.549, 0.716, 0.422)
Cl (0.716, 0.549, 0.922)
Cl (0.731, 0.269, 0.250)
Cl (0.751, 0.753, 0.180)
Cl (0.753, 0.751, 0.680)
Cl (0.768, 0.049, 0.946)
Cl (0.951, 0.232, 0.554)

Top 8 peaks for 10 to 90 degrees two-theta, in order of rising 2θ:
two_theta  I_rel
14.10  381
15.01  521
15.42  1000
16.97  295
31.16  250
35.80  226
37.95  366
45.29  265

***

Theoretical powder XRD pattern
Compound: Hg3Rh
Radiation: λ = 1.5418 Å (Cu Kα)
Structure: a cell relaxed with PBE
Kinematic intensities with the Lorentz-polarization factor, no thermal factor.

Cell and atoms:
abc: 7.461 8.468 5.519
angles: 90.00 90.00 90.00
Positions (direct):
Hg (0.012, 0.250, 0.102)
Hg (0.171, 0.049, 0.637)
Hg (0.171, 0.451, 0.637)
Hg (0.329, 0.549, 0.137)
Hg (0.329, 0.951, 0.137)
Hg (0.488, 0.750, 0.602)
Hg (0.512, 0.250, 0.398)
Hg (0.671, 0.049, 0.863)
Hg (0.671, 0.451, 0.863)
Hg (0.829, 0.549, 0.363)
Hg (0.829, 0.951, 0.363)
Hg (0.988, 0.750, 0.898)
Rh (0.131, 0.750, 0.424)
Rh (0.369, 0.250, 0.924)
Rh (0.631, 0.750, 0.076)
Rh (0.869, 0.250, 0.576)

Top 8 peaks for 10 to 90 degrees two-theta, in order of rising 2θ:
two_theta  I_rel
29.15  723
31.98  985
35.98  810
36.29  1000
37.78  666
39.75  989
40.87  835
59.81  733

***

Theoretical powder XRD pattern
Compound: BaLi4Hg2
Radiation: λ = 1.5418 Å (Cu Kα)
Structure: a cell relaxed with PBE
Kinematic intensities with the Lorentz-polarization factor, no thermal factor.

Cell and atoms:
abc: 8.784 8.784 4.496
angles: 90.00 90.00 90.00
Positions (direct):
Ba (0.000, 0.000, 0.000)
Ba (0.500, 0.500, 0.500)
Li (0.089, 0.351, 0.500)
Li (0.149, 0.589, 0.000)
Li (0.351, 0.089, 0.500)
Li (0.411, 0.851, 0.000)
Li (0.589, 0.149, 0.000)
Li (0.649, 0.911, 0.500)
Li (0.851, 0.411, 0.000)
Li (0.911, 0.649, 0.500)
Hg (0.220, 0.780, 0.500)
Hg (0.280, 0.280, 0.000)
Hg (0.720, 0.720, 0.000)
Hg (0.780, 0.220, 0.500)

Top 8 peaks for 10 to 90 degrees two-theta, in order of rising 2θ:
two_theta  I_rel
14.26  223
20.22  307
24.44  1000
28.75  537
30.21  356
36.62  284
38.08  536
50.09  235

***

Theoretical powder XRD pattern
Compound: HoRhS
Radiation: λ = 1.5418 Å (Cu Kα)
Structure: a cell relaxed with PBE
Kinematic intensities with the Lorentz-polarization factor, no thermal factor.

Cell and atoms:
abc: 4.148 4.148 3.581
angles: 90.00 90.00 120.00
Positions (direct):
Ho (0.000, 0.000, 0.000)
Rh (0.333, 0.667, 0.501)
S (0.667, 0.333, 0.498)

Top 8 peaks for 10 to 90 degrees two-theta, in order of rising 2θ:
two_theta  I_rel
24.79  268
35.39  1000
43.65  433
51.00  91
57.40  246
69.33  215
74.79  250
85.77  80

***

Theoretical powder XRD pattern
Compound: CeYRu
Radiation: λ = 1.5418 Å (Cu Kα)
Structure: a cell relaxed with PBE
Kinematic intensities with the Lorentz-polarization factor, no thermal factor.

Cell and atoms:
abc: 6.589 6.981 7.649
angles: 90.00 120.09 90.00
Positions (direct):
Ce (0.246, 0.178, 0.083)
Ce (0.246, 0.322, 0.583)
Ce (0.754, 0.678, 0.417)
Ce (0.754, 0.822, 0.917)
Y (0.243, 0.666, 0.941)
Y (0.243, 0.834, 0.441)
Y (0.757, 0.166, 0.559)
Y (0.757, 0.334, 0.059)
Ru (0.291, 0.041, 0.803)
Ru (0.291, 0.459, 0.303)
Ru (0.709, 0.541, 0.697)
Ru (0.709, 0.959, 0.197)

Top 8 peaks for 10 to 90 degrees two-theta, in order of rising 2θ:
two_theta  I_rel
20.11  302
29.50  686
29.88  468
31.38  1000
32.10  443
36.18  517
37.86  357
39.28  337

***

Theoretical powder XRD pattern
Compound: LiHg4Pd3
Radiation: λ = 1.5418 Å (Cu Kα)
Structure: a cell relaxed with PBE
Kinematic intensities with the Lorentz-polarization factor, no thermal factor.

Cell and atoms:
abc: 3.024 8.020 12.774
angles: 90.00 90.00 90.00
Positions (direct):
Li (0.000, 0.000, 0.000)
Li (0.500, 0.500, 0.500)
Hg (0.000, 0.287, 0.134)
Hg (0.000, 0.287, 0.866)
Hg (0.000, 0.713, 0.134)
Hg (0.000, 0.713, 0.866)
Hg (0.500, 0.213, 0.366)
Hg (0.500, 0.213, 0.634)
Hg (0.500, 0.787, 0.366)
Hg (0.500, 0.787, 0.634)
Pd (0.000, 0.000, 0.500)
Pd (0.000, 0.500, 0.319)
Pd (0.000, 0.500, 0.681)
Pd (0.500, 0.000, 0.181)
Pd (0.500, 0.000, 0.819)
Pd (0.500, 0.500, 0.000)

Top 8 peaks for 10 to 90 degrees two-theta, in order of rising 2θ:
two_theta  I_rel
22.17  304
27.94  603
35.95  773
36.44  366
37.92  1000
39.82  508
43.07  734
45.24  335